(1)
Diffraction record for Tb3Er2Sc3. The PXRD pattern is theoretical, not measured: it uses a crystal structure in Alexandria, relaxed with GGA-PBE and Cu Kα.
Neutral-atom scattering factors, no anomalous dispersion.

Main lines, by intensity (10° ≤ 2θ ≤ 90°):
| d_spacing | intensity | hkl |
| --- | --- | --- |
| 2.805 | 100 | 1 1 4 |
| 2.454 | 17 | 0 2 0 |
| 2.440 | 17 | 0 0 8 |
| 2.394 | 16 | 2 0 0 |
| 4.649 | 15 | 1 0 1 |
| 1.476 | 14 | 1 3 4 |

```
data_Tb3Er2Sc3
_space_group_name_H-M_alt 'I m m m'
_space_group_IT_number 71
_space_group_name_Hall '-I 2 2'
_cell_length_a 4.7870
_cell_length_b 4.9075
_cell_length_c 19.5224
_cell_angle_alpha 90.00
_cell_angle_beta 90.00
_cell_angle_gamma 90.00
loop_
_atom_site_label
_atom_site_fract_x
_atom_site_fract_y
_atom_site_fract_z
Tb1 0.0000 0.0000 0.0000
Tb2 0.0000 0.5000 0.1221
Er1 0.0000 0.0000 0.2486
Sc1 0.0000 0.0000 0.5000
Sc2 0.0000 0.5000 0.3757
```

***

(2)
Diffraction record for NaPd6Pb5. The PXRD pattern is theoretical, not measured: it uses a crystal structure in Alexandria, relaxed with GGA-PBE and Cu Kα.
Neutral-atom scattering factors, no anomalous dispersion.

Main lines, by intensity (10° ≤ 2θ ≤ 90°):
| d_spacing | intensity | hkl |
| --- | --- | --- |
| 2.447 | 100 | 1 3 2 |
| 2.409 | 22 | 2 0 0 |
| 1.413 | 16 | 2 0 4 |
| 1.398 | 14 | 3 3 2 |
| 1.717 | 13 | 2 6 0 |
| 1.744 | 9 | 0 0 4 |

```
data_NaPd6Pb5
_space_group_name_H-M_alt 'C m m m'
_space_group_IT_number 65
_space_group_name_Hall '-C 2 2'
_cell_length_a 4.8184
_cell_length_b 14.6862
_cell_length_c 6.9744
_cell_angle_alpha 90.00
_cell_angle_beta 90.00
_cell_angle_gamma 90.00
loop_
_atom_site_label
_atom_site_fract_x
_atom_site_fract_y
_atom_site_fract_z
Na1 0.0000 0.0000 0.0000
Pd1 0.0000 0.1814 0.2164
Pd2 0.0000 0.5000 0.2757
Pb1 0.0000 0.0000 0.5000
Pb2 0.0000 0.3294 0.5000
Pb3 0.0000 0.3529 0.0000
```

***

(3)
Diffraction record for AcAlGeF. The PXRD pattern is theoretical, not measured: it uses a crystal structure in Alexandria, relaxed with GGA-PBE and Cu Kα.
Neutral-atom scattering factors, no anomalous dispersion.

Main lines, by intensity (10° ≤ 2θ ≤ 90°):
| d_spacing | intensity | hkl |
| --- | --- | --- |
| 3.071 | 100 | 1 0 2 |
| 3.901 | 66 | 1 0 1 |
| 2.513 | 63 | 1 1 2 |
| 3.093 | 61 | 1 1 0 |
| 2.187 | 45 | 2 0 0 |
| 1.934 | 43 | 1 0 4 |

```
data_AcAlGeF
_space_group_name_H-M_alt 'P 4/n m m'
_space_group_IT_number 129
_cell_length_a 4.3736
_cell_length_b 4.3736
_cell_length_c 8.6241
_cell_angle_alpha 90.00
_cell_angle_beta 90.00
_cell_angle_gamma 90.00
loop_
_space_group_symop_operation_xyz
'x,y,z'
'-x,-y,-z'
'-y+1/2,x,z'
'y+1/2,-x,-z'
'-x+1/2,-y+1/2,z'
'x+1/2,y+1/2,-z'
'y,-x+1/2,z'
'-y,x+1/2,-z'
'x+1/2,-y,-z'
'-x+1/2,y,z'
'-y,-x,-z'
'y,x,z'
'-x,y+1/2,-z'
'x,-y+1/2,z'
'y+1/2,x+1/2,-z'
'-y+1/2,-x+1/2,z'
loop_
_atom_site_label
_atom_site_fract_x
_atom_site_fract_y
_atom_site_fract_z
Ac1 0.2500 0.2500 0.1854
Al1 0.2500 0.7500 0.5000
Ge1 0.2500 0.2500 0.6649
F1 0.2500 0.7500 0.0000
```

***

(4)
Diffraction record for CaSn12Ir4. The PXRD pattern is theoretical, not measured: it uses a crystal structure in Alexandria, relaxed with GGA-PBE and Cu Kα.
Neutral-atom scattering factors, no anomalous dispersion.

Main lines, by intensity (10° ≤ 2θ ≤ 90°):
| d_spacing | intensity | hkl |
| --- | --- | --- |
| 3.006 | 100 | 3 0 1 |
| 2.126 | 72 | 4 2 0 |
| 1.940 | 61 | 4 2 2 |
| 4.753 | 51 | 2 0 0 |
| 2.541 | 39 | 3 1 2 |
| 1.120 | 29 | 6 6 0 |

```
data_CaSn12Ir4
_space_group_name_H-M_alt 'I m -3'
_space_group_IT_number 204
_space_group_name_Hall '-I 2 2 3'
_cell_length_a 9.5057
_cell_length_b 9.5057
_cell_length_c 9.5057
_cell_angle_alpha 90.00
_cell_angle_beta 90.00
_cell_angle_gamma 90.00
loop_
_atom_site_label
_atom_site_fract_x
_atom_site_fract_y
_atom_site_fract_z
Ca1 0.0000 0.0000 0.0000
Sn1 0.0000 0.3382 0.1609
Ir1 0.2500 0.2500 0.2500
```